1.
Calculated X-ray diffraction stick pattern of Zr3Pa5 for Cu Ka, from a PBE-relaxed structure.

Main lines, in order of rising 2θ (10 to 90 degrees two-theta):
| d (Å) | I/Imax | index |
| --- | --- | --- |
| 2.862 | 9 | 1 0 3 |
| 2.660 | 100 | 1 0 4 |
| 2.380 | 18 | 0 0 8 |
| 2.268 | 32 | 1 1 0 |
| 2.252 | 4 | 1 1 1 |
| 1.742 | 3 | 1 1 7 |
| 1.642 | 23 | 1 1 8 |
| 1.603 | 11 | 2 0 0 |
| 1.422 | 14 | 1 0 12 |
| 1.373 | 27 | 2 1 4 |
| 1.330 | 12 | 2 0 8 |
| 1.134 | 4 | 2 2 0 |

Crystal structure
```
Zr3Pa5
1.0
3.2069 0.0000 0.0000
0.0000 3.2069 0.0000
0.0000 0.0000 19.0369
Zr Pa
3 5
Direct
0.0000 0.0000 0.0000
0.5000 0.5000 0.1212
0.5000 0.5000 0.8788
0.0000 0.0000 0.2454
0.0000 0.0000 0.5000
0.0000 0.0000 0.7546
0.5000 0.5000 0.3723
0.5000 0.5000 0.6277
```

***

2.
Calculated X-ray diffraction stick pattern of ZrPa4 for Cu Ka, from a PBE-relaxed structure.

Main lines, in order of rising 2θ (10 to 90 degrees two-theta):
| d (Å) | I/Imax | index |
| --- | --- | --- |
| 2.877 | 27 | 0 2 1 |
| 2.640 | 100 | 1 5 0 |
| 2.615 | 71 | 1 1 1 |
| 2.562 | 50 | 2 0 0 |
| 2.416 | 29 | 0 4 1 |
| 2.357 | 18 | 1 3 1 |
| 1.978 | 15 | 0 6 1 |
| 1.913 | 17 | 2 2 1 |
| 1.758 | 23 | 2 4 1 |
| 1.694 | 18 | 1 7 1 |
| 1.494 | 18 | 3 5 0 |
| 1.337 | 25 | 1 5 2 |

Crystal structure
```
ZrPa4
1.0
5.1234 0.0000 0.0000
0.0000 15.4040 0.0000
0.0000 0.0000 3.1020
Zr Pa
2 8
Direct
0.0000 0.0000 0.0000
0.5000 0.5000 0.0000
0.0000 0.2043 0.0000
0.0000 0.4057 0.5000
0.0000 0.5943 0.5000
0.0000 0.7957 0.0000
0.5000 0.0943 0.5000
0.5000 0.2957 0.0000
0.5000 0.7043 0.0000
0.5000 0.9057 0.5000
```

***

3.
Calculated X-ray diffraction stick pattern of Zr3Pa4 for Cu Ka, from a PBE-relaxed structure.

Main lines, in order of rising 2θ (10 to 90 degrees two-theta):
| d (Å) | I/Imax | index |
| --- | --- | --- |
| 7.336 | 19 | 1 0 0 |
| 3.353 | 6 | 1 1 1 |
| 2.773 | 23 | 1 2 0 |
| 2.744 | 29 | 0 0 2 |
| 2.475 | 100 | 1 2 1 |
| 1.950 | 17 | 1 2 2 |
| 1.601 | 17 | 4 1 0 |
| 1.527 | 23 | 1 2 3 |
| 1.383 | 21 | 4 1 2 |
| 1.344 | 14 | 2 4 1 |
| 1.238 | 5 | 2 4 2 |
| 1.105 | 8 | 2 4 3 |

Crystal structure
```
Zr3Pa4
1.0
8.4708 0.0000 0.0000
-4.2354 7.3359 0.0000
0.0000 0.0000 5.4885
Zr Pa
6 8
Direct
0.0350 0.8093 0.2500
0.1907 0.2257 0.2500
0.2257 0.0350 0.7500
0.7743 0.9650 0.2500
0.8093 0.7743 0.7500
0.9650 0.1907 0.7500
0.0888 0.6105 0.7500
0.3333 0.6667 0.2500
0.3895 0.4784 0.7500
0.4784 0.0888 0.2500
0.5216 0.9112 0.7500
0.6105 0.5216 0.2500
0.6667 0.3333 0.7500
0.9112 0.3895 0.2500
```